[1]
The following is a simulated powder diffractogram of Dy2InGa3Cu4. It was derived from DFT lattice parameters and positions (PBE), using Cu Ka.
No peak broadening, texture or thermal motion is included.

Structure:
Cell lengths 4.1727, 4.1727, 10.3464 Å; angles 90.00, 90.00, 90.00 degrees
Element x y z (fractional)
1 Dy 0.0000 0.5000 0.2340
2 Dy 0.5000 0.0000 0.7660
3 In 0.0000 0.0000 0.5000
4 Ga 0.0000 0.5000 0.8757
5 Ga 0.5000 0.0000 0.1243
6 Ga 0.5000 0.5000 0.5000
7 Cu 0.0000 0.0000 0.0000
8 Cu 0.0000 0.5000 0.6481
9 Cu 0.5000 0.0000 0.3519
10 Cu 0.5000 0.5000 0.0000

Main lines, in order of falling intensity (15 to 90 degrees two-theta):
d/Å	intensity
2.563	100.0
2.086	51.4
2.658	50.6
1.641	23.4
1.854	22.2
1.279	21.3
1.386	16.6
1.475	16.3
2.951	12.0
1.489	9.5
1.099	8.2
1.945	8.1

***

[2]
The following is a simulated powder diffractogram of Sm2Mg5. It was derived from DFT lattice parameters and positions (PBE), using Cu Ka.
No peak broadening, texture or thermal motion is included.

Structure:
Cell lengths 8.8171, 8.8171, 8.8171 Å; angles 129.44, 71.12, 133.49 degrees
Element x y z (fractional)
1 Sm 0.1034 0.1922 0.2955
2 Sm 0.3966 0.6922 0.0888
3 Sm 0.6034 0.3078 0.9112
4 Sm 0.8966 0.8078 0.7045
5 Mg 0.0168 0.7500 0.2668
6 Mg 0.1291 0.7544 0.8835
7 Mg 0.2500 0.7500 0.5000
8 Mg 0.3709 0.2544 0.6252
9 Mg 0.4832 0.7500 0.7332
10 Mg 0.5168 0.2500 0.2668
11 Mg 0.6291 0.7456 0.3748
12 Mg 0.7500 0.2500 0.5000
13 Mg 0.8709 0.2456 0.1165
14 Mg 0.9832 0.2500 0.7332

Main lines, in order of falling intensity (15 to 90 degrees two-theta):
d/Å	intensity
4.163	100.0
2.498	40.9
2.556	37.5
2.597	31.4
3.481	25.6
2.723	24.1
3.586	20.3
2.936	19.9
1.660	17.6
2.119	16.8
2.472	16.6
3.765	16.2

***

[3]
The following is a simulated powder diffractogram of TbMgTcN3. It was derived from DFT lattice parameters and positions (PBE), using Cu Ka.
No peak broadening, texture or thermal motion is included.

Structure:
Cell lengths 5.8478, 3.3206, 8.7801 Å; angles 90.00, 103.62, 90.00 degrees
Element x y z (fractional)
1 Tb 0.1450 0.2500 0.1674
2 Tb 0.8550 0.7500 0.8326
3 Mg 0.3767 0.2500 0.8720
4 Mg 0.6233 0.7500 0.1280
5 Tc 0.1516 0.7500 0.5856
6 Tc 0.8484 0.2500 0.4144
7 N 0.0143 0.7500 0.3422
8 N 0.2476 0.7500 0.0059
9 N 0.4425 0.7500 0.7029
10 N 0.5575 0.2500 0.2971
11 N 0.7524 0.2500 0.9941
12 N 0.9857 0.2500 0.6578

Main lines, in order of falling intensity (15 to 90 degrees two-theta):
d/Å	intensity
5.683	100.0
2.625	88.1
3.095	70.9
2.523	57.2
3.879	48.9
2.151	47.6
3.081	38.4
2.673	36.1
2.188	33.4
1.681	32.9
2.823	28.4
2.144	28.2

***

[4]
The following is a simulated powder diffractogram of Li4Ag2Pd3. It was derived from DFT lattice parameters and positions (PBE), using Cu Ka.
No peak broadening, texture or thermal motion is included.

Structure:
Cell lengths 4.3264, 4.3264, 8.0810 Å; angles 90.00, 90.00, 120.00 degrees
Element x y z (fractional)
1 Li 0.0000 0.0000 0.1599
2 Li 0.0000 0.0000 0.8401
3 Li 0.3333 0.6667 0.6055
4 Li 0.6667 0.3333 0.3945
5 Ag 0.3333 0.6667 0.2776
6 Ag 0.6667 0.3333 0.7224
7 Pd 0.0000 0.0000 0.5000
8 Pd 0.3333 0.6667 0.9261
9 Pd 0.6667 0.3333 0.0739

Main lines, in order of falling intensity (15 to 90 degrees two-theta):
d/Å	intensity
2.187	100.0
2.163	93.0
3.399	84.2
2.747	73.2
1.538	31.7
1.253	31.4
1.295	17.8
1.700	16.8
1.249	14.9
3.747	14.9
1.336	14.7
1.825	13.9

***

[5]
The following is a simulated powder diffractogram of K2Rb6O. It was derived from DFT lattice parameters and positions (PBE), using Cu Ka.
No peak broadening, texture or thermal motion is included.

Structure:
Cell lengths 9.5709, 9.5709, 9.3148 Å; angles 119.04, 119.04, 58.54 degrees
Element x y z (fractional)
1 K 0.2485 0.2485 0.2493
2 K 0.7515 0.7515 0.7507
3 Rb 0.2853 0.7144 0.2157
4 Rb 0.2856 0.7147 0.7843
5 Rb 0.2944 0.2944 0.7948
6 Rb 0.7056 0.7056 0.2052
7 Rb 0.7144 0.2853 0.2157
8 Rb 0.7147 0.2856 0.7843
9 O 0.5000 0.5000 0.0000

Main lines, in order of falling intensity (15 to 90 degrees two-theta):
d/Å	intensity
3.873	100.0
3.301	37.4
2.391	20.5
3.468	18.7
2.546	15.4
3.099	13.1
1.894	12.9
1.997	9.7
2.584	9.6
2.002	9.5
2.660	9.2
2.072	8.2

***

[6]
The following is a simulated powder diffractogram of HfScAg. It was derived from DFT lattice parameters and positions (PBE), using Cu Ka.
No peak broadening, texture or thermal motion is included.

Structure:
Cell lengths 6.4187, 3.2145, 12.2519 Å; angles 90.00, 90.00, 90.00 degrees
Element x y z (fractional)
1 Hf 0.1210 0.2500 0.0834
2 Hf 0.3790 0.7500 0.5834
3 Hf 0.6210 0.2500 0.4166
4 Hf 0.8790 0.7500 0.9166
5 Sc 0.1285 0.2500 0.4099
6 Sc 0.3715 0.7500 0.9099
7 Sc 0.6285 0.2500 0.0901
8 Sc 0.8715 0.7500 0.5901
9 Ag 0.1260 0.2500 0.7491
10 Ag 0.3740 0.7500 0.2491
11 Ag 0.6260 0.2500 0.7509
12 Ag 0.8740 0.7500 0.2509

Main lines, in order of falling intensity (15 to 90 degrees two-theta):
d/Å	intensity
2.525	100.0
2.271	36.8
1.355	27.5
5.686	22.4
1.518	20.0
2.042	13.2
4.432	10.7
1.262	10.6
1.253	10.3
2.798	7.0
2.602	6.8
1.607	6.1

***

[7]
The following is a simulated powder diffractogram of Dy2Sc2Hg3. It was derived from DFT lattice parameters and positions (PBE), using Cu Ka.
No peak broadening, texture or thermal motion is included.

Structure:
Cell lengths 3.6746, 26.7655, 3.5916 Å; angles 90.00, 90.00, 90.00 degrees
Element x y z (fractional)
1 Dy 0.0000 0.0714 0.0000
2 Dy 0.0000 0.9286 0.0000
3 Dy 0.5000 0.4286 0.0000
4 Dy 0.5000 0.5714 0.0000
5 Sc 0.0000 0.2019 0.0000
6 Sc 0.0000 0.7981 0.0000
7 Sc 0.5000 0.2981 0.0000
8 Sc 0.5000 0.7019 0.0000
9 Hg 0.0000 0.3540 0.5000
10 Hg 0.0000 0.5000 0.5000
11 Hg 0.0000 0.6460 0.5000
12 Hg 0.5000 0.0000 0.5000
13 Hg 0.5000 0.1460 0.5000
14 Hg 0.5000 0.8540 0.5000

Main lines, in order of falling intensity (15 to 90 degrees two-theta):
d/Å	intensity
2.557	100.0
2.649	94.6
2.798	62.6
2.448	43.7
1.487	32.8
1.606	24.2
1.536	21.1
1.796	18.2
1.469	17.9
1.837	16.7
1.912	16.7
1.465	16.3

***

[8]
The following is a simulated powder diffractogram of Y3Tm2Se8. It was derived from DFT lattice parameters and positions (PBE), using Cu Ka.
No peak broadening, texture or thermal motion is included.

Structure:
Cell lengths 8.1917, 8.1917, 6.9620 Å; angles 106.80, 106.80, 59.70 degrees
Element x y z (fractional)
1 Y 0.0000 0.0000 0.0000
2 Y 0.2613 0.7387 0.5000
3 Y 0.7387 0.2613 0.5000
4 Tm 0.2566 0.2566 0.8375
5 Tm 0.7434 0.7434 0.1625
6 Se 0.1155 0.6345 0.0852
7 Se 0.1205 0.1205 0.4256
8 Se 0.3655 0.8845 0.9148
9 Se 0.3809 0.3809 0.6006
10 Se 0.6191 0.6191 0.3994
11 Se 0.6345 0.1155 0.0852
12 Se 0.8795 0.8795 0.5744
13 Se 0.8845 0.3655 0.9148

Main lines, in order of falling intensity (15 to 90 degrees two-theta):
d/Å	intensity
2.652	100.0
2.221	99.6
2.017	73.3
4.411	65.8
2.622	49.9
3.904	46.7
2.039	37.7
3.324	37.2
3.483	36.3
4.067	25.6
5.253	25.0
5.741	24.3

***

[9]
The following is a simulated powder diffractogram of YMgO. It was derived from DFT lattice parameters and positions (PBE), using Cu Ka.
No peak broadening, texture or thermal motion is included.

Structure:
Cell lengths 8.4167, 5.6884, 5.6816 Å; angles 90.00, 109.65, 90.00 degrees
Element x y z (fractional)
1 Y 0.1308 0.0000 0.3152
2 Y 0.1308 0.5000 0.8152
3 Y 0.8692 0.0000 0.6848
4 Y 0.8692 0.5000 0.1848
5 Mg 0.5004 0.1768 0.1829
6 Mg 0.5004 0.3232 0.6829
7 Mg 0.4996 0.6768 0.3171
8 Mg 0.4996 0.8232 0.8171
9 O 0.0000 0.2500 0.9996
10 O 0.0000 0.2500 0.4996
11 O 0.0000 0.7500 0.0004
12 O 0.0000 0.7500 0.5004

Main lines, in order of falling intensity (15 to 90 degrees two-theta):
d/Å	intensity
3.199	100.0
2.489	34.8
2.676	28.1
1.564	23.2
1.626	22.9
2.010	21.6
1.702	20.9
3.897	20.3
2.843	14.5
1.935	13.7
1.948	12.8
2.642	11.5

***

[10]
The following is a simulated powder diffractogram of HgPd2Cl8. It was derived from DFT lattice parameters and positions (PBE), using Cu Ka.
No peak broadening, texture or thermal motion is included.

Structure:
Cell lengths 4.3824, 8.9536, 9.2069 Å; angles 76.61, 89.15, 89.29 degrees
Element x y z (fractional)
1 Hg 0.0000 0.0000 0.0000
2 Pd 0.2775 0.3991 0.4010
3 Pd 0.7225 0.6009 0.5990
4 Cl 0.2194 0.6611 0.6579
5 Cl 0.2765 0.2047 0.6063
6 Cl 0.2787 0.6112 0.2128
7 Cl 0.3296 0.1273 0.1222
8 Cl 0.6704 0.8727 0.8778
9 Cl 0.7213 0.3888 0.7872
10 Cl 0.7235 0.7953 0.3937
11 Cl 0.7806 0.3389 0.3421

Main lines, in order of falling intensity (15 to 90 degrees two-theta):
d/Å	intensity
5.627	100.0
2.784	48.6
2.814	35.5
3.086	31.5
3.057	29.0
3.761	27.5
3.918	25.2
4.420	24.9
3.900	24.3
4.330	23.5
2.132	22.5
1.825	16.2

***

[11]
The following is a simulated powder diffractogram of In2Cu3P4O16. It was derived from DFT lattice parameters and positions (PBE), using Cu Ka.
No peak broadening, texture or thermal motion is included.

Structure:
Cell lengths 9.0934, 8.9098, 8.0060 Å; angles 90.00, 107.68, 90.00 degrees
Element x y z (fractional)
1 In 0.2441 0.0006 0.2454
2 In 0.2441 0.4994 0.7454
3 In 0.7559 0.5006 0.2546
4 In 0.7559 0.9994 0.7546
5 Cu 0.0000 0.0000 0.5000
6 Cu 0.0000 0.5000 0.0000
7 Cu 0.4035 0.6265 0.3851
8 Cu 0.4035 0.8735 0.8851
9 Cu 0.5965 0.1265 0.1149
10 Cu 0.5965 0.3735 0.6149
11 P 0.0860 0.6874 0.3539
12 P 0.0860 0.8126 0.8539
13 P 0.4025 0.1621 0.6580
14 P 0.4025 0.3379 0.1580
15 P 0.5975 0.6621 0.8420
16 P 0.5975 0.8379 0.3420
17 P 0.9140 0.1874 0.1461
18 P 0.9140 0.3126 0.6461
19 O 0.0608 0.1397 0.1062
20 O 0.0608 0.3603 0.6062
21 O 0.0873 0.6360 0.8420
22 O 0.0873 0.8640 0.3420
23 O 0.1102 0.6268 0.1851
24 O 0.1102 0.8732 0.6851
25 O 0.2349 0.6316 0.5036
26 O 0.2349 0.8684 0.0036
27 O 0.2726 0.1095 0.4997
28 O 0.2726 0.3905 0.9997
29 O 0.4040 0.1624 0.1876
30 O 0.4040 0.3376 0.6876
31 O 0.4049 0.0853 0.8307
32 O 0.4049 0.4147 0.3307
33 O 0.4347 0.6485 0.8777
34 O 0.4347 0.8515 0.3777
35 O 0.5653 0.1485 0.6223
36 O 0.5653 0.3515 0.1223
37 O 0.5951 0.5853 0.6693
38 O 0.5951 0.9147 0.1693
39 O 0.5960 0.6624 0.3124
40 O 0.5960 0.8376 0.8124
41 O 0.7274 0.6095 0.0003
42 O 0.7274 0.8905 0.5003
43 O 0.7651 0.1316 0.9964
44 O 0.7651 0.3684 0.4964
45 O 0.8898 0.1268 0.3149
46 O 0.8898 0.3732 0.8149
47 O 0.9127 0.1360 0.6580
48 O 0.9127 0.3640 0.1580
49 O 0.9392 0.6397 0.3938
50 O 0.9392 0.8603 0.8938

Main lines, in order of falling intensity (15 to 90 degrees two-theta):
d/Å	intensity
4.373	100.0
2.556	73.0
2.862	65.5
2.715	58.4
3.506	58.2
4.455	29.8
3.424	27.9
3.106	25.8
1.666	21.7
2.375	21.4
1.712	19.4
3.734	19.0

***

[12]
The following is a simulated powder diffractogram of AlIn12Hg7. It was derived from DFT lattice parameters and positions (PBE), using Cu Ka.
No peak broadening, texture or thermal motion is included.

Structure:
Cell lengths 5.9002, 9.6631, 10.0401 Å; angles 75.68, 75.33, 88.08 degrees
Element x y z (fractional)
1 Al 0.0000 0.0000 0.0000
2 In 0.0688 0.1829 0.4051
3 In 0.1592 0.4049 0.5940
4 In 0.1598 0.4600 0.1524
5 In 0.3669 0.7463 0.9232
6 In 0.3930 0.6793 0.6381
7 In 0.4910 0.9552 0.3580
8 In 0.4941 0.0483 0.6463
9 In 0.5933 0.3243 0.3664
10 In 0.6199 0.2578 0.0808
11 In 0.8262 0.5995 0.4091
12 In 0.8273 0.5438 0.8506
13 In 0.9179 0.8213 0.5978
14 Hg 0.0158 0.9320 0.2741
15 Hg 0.1562 0.2863 0.9387
16 Hg 0.3679 0.6590 0.2954
17 Hg 0.4980 0.0014 0.0023
18 Hg 0.6167 0.3453 0.7084
19 Hg 0.8292 0.7156 0.0657
20 Hg 0.9691 0.0732 0.7285

Main lines, in order of falling intensity (15 to 90 degrees two-theta):
d/Å	intensity
2.906	100.0
2.753	79.8
2.853	52.5
2.414	35.2
2.185	28.6
2.191	24.7
3.137	23.6
2.402	22.2
2.496	22.0
2.774	21.1
2.271	19.6
3.119	19.4